Rb2PdS8O26: theoretical XRD peak list (Cu Kα (weighted mean of Kα1 and Kα2)), based on a DFT-relaxed cell (PBE, OQMD).
Peak positions follow from Bragg's law for the DFT cell and can differ from measured ones.

Atomic structure:
```
Rb2PdS8O26
1.0
7.3549 0.0000 0.0000
2.6085 7.9356 0.0000
0.2647 2.7900 8.6807
Rb Pd S O
2 1 8 26
direct
0.1351 0.2258 0.3885
0.8649 0.7742 0.6115
0.5000 0.0000 0.0000
0.1182 0.6874 0.0157
0.2055 0.7236 0.3096
0.3288 0.8614 0.7827
0.3802 0.3577 0.7211
0.6198 0.6423 0.2789
0.6712 0.1386 0.2173
0.7945 0.2764 0.6904
0.8818 0.3126 0.9843
0.0496 0.2015 0.0812
0.0789 0.6276 0.3783
0.1395 0.5122 0.1098
0.1463 0.8059 0.1245
0.1808 0.9103 0.6639
0.2162 0.8719 0.3504
0.2466 0.5320 0.6889
0.2860 0.9937 0.8690
0.3047 0.6762 0.9241
0.3784 0.2513 0.6244
0.4080 0.5822 0.3198
0.4131 0.2661 0.8900
0.4752 0.2071 0.2467
0.5248 0.7929 0.7533
0.5869 0.7339 0.1100
0.5920 0.4178 0.6802
0.6216 0.7487 0.3756
0.6953 0.3238 0.0759
0.7140 0.0063 0.1310
0.7534 0.4680 0.3111
0.7838 0.1281 0.6496
0.8192 0.0897 0.3361
0.8537 0.1941 0.8755
0.8605 0.4878 0.8902
0.9211 0.3724 0.6217
0.9504 0.7985 0.9188
```

Largest 10 diffraction maxima, sorted by position, 5 to 70 degrees two-theta:
20.2°, 4.394 Å, rel. 100; 23.6°, 3.777 Å, rel. 25; 26.3°, 3.391 Å, rel. 65; 26.9°, 3.317 Å, rel. 79; 27.2°, 3.275 Å, rel. 64; 28.5°, 3.131 Å, rel. 43; 30.9°, 2.893 Å, rel. 39; 33.2°, 2.702 Å, rel. 25; 38.3°, 2.349 Å, rel. 25; 38.7°, 2.326 Å, rel. 43


Rb4Si2PdO7: theoretical XRD peak list (Cu Kα (weighted mean of Kα1 and Kα2)), based on a DFT-relaxed cell (PBE, OQMD).
Peak positions follow from Bragg's law for the DFT cell and can differ from measured ones.

Atomic structure:
```
Rb4Si2PdO7
1.0
6.2123 0.0000 0.0000
-1.1426 7.0482 0.0000
-2.1692 -3.3302 5.9628
Rb Si Pd O
4 2 1 7
direct
0.0597 0.2738 0.0428
0.3269 0.2209 0.5902
0.6731 0.7791 0.4098
0.9403 0.7262 0.9572
0.2124 0.7206 0.5704
0.7876 0.2794 0.4296
0.5000 0.0000 0.0000
0.0000 0.5000 0.5000
0.1719 0.9319 0.7556
0.1975 0.7305 0.3476
0.4740 0.7237 0.7272
0.5260 0.2763 0.2728
0.8025 0.2695 0.6524
0.8281 0.0681 0.2444
```

Largest 10 diffraction maxima, sorted by position, 5 to 70 degrees two-theta:
24.8°, 3.596 Å, rel. 45; 26.1°, 3.415 Å, rel. 46; 26.4°, 3.378 Å, rel. 38; 28.1°, 3.176 Å, rel. 100; 29.0°, 3.077 Å, rel. 42; 29.2°, 3.060 Å, rel. 94; 30.0°, 2.982 Å, rel. 42; 32.6°, 2.745 Å, rel. 87; 35.5°, 2.529 Å, rel. 47; 36.7°, 2.449 Å, rel. 62


RePdO4: theoretical XRD peak list (Cu Kα (weighted mean of Kα1 and Kα2)), based on a DFT-relaxed cell (PBE, OQMD).
Peak positions follow from Bragg's law for the DFT cell and can differ from measured ones.

Atomic structure:
```
RePdO4
1.0
-3.2993 3.2993 3.1443
3.2993 -3.2993 3.1443
3.2993 3.2993 -3.1443
Re Pd O
2 2 8
direct
0.0000 0.0000 0.0000
0.7500 0.2500 0.5000
0.2432 0.7432 0.5000
0.4932 0.4932 0.0000
0.1697 0.4815 0.6882
0.2315 0.0433 0.8118
0.2315 0.4197 0.1882
0.3135 0.0180 0.2956
0.7224 0.0180 0.7044
0.7680 0.5635 0.7956
0.7680 0.9724 0.2044
0.7933 0.4815 0.3118
```

Largest 10 diffraction maxima, sorted by position, 5 to 70 degrees two-theta:
19.5°, 4.552 Å, rel. 16; 27.0°, 3.299 Å, rel. 100; 34.4°, 2.608 Å, rel. 86; 38.6°, 2.333 Å, rel. 25; 52.6°, 1.739 Å, rel. 66; 55.7°, 1.650 Å, rel. 16; 58.7°, 1.572 Å, rel. 7; 63.0°, 1.475 Å, rel. 16; 65.8°, 1.419 Å, rel. 16; 67.1°, 1.394 Å, rel. 19


Re2PdO5: theoretical XRD peak list (Cu Kα (weighted mean of Kα1 and Kα2)), based on a DFT-relaxed cell (PBE, OQMD).
Peak positions follow from Bragg's law for the DFT cell and can differ from measured ones.

Atomic structure:
```
Re2PdO5
1.0
11.0861 0.0000 0.0000
0.0000 5.5698 0.0000
-0.6784 0.0000 2.6682
Re Pd O
4 2 10
direct
0.1751 0.0000 0.1756
0.3249 0.5000 0.8244
0.6751 0.5000 0.1756
0.8249 0.0000 0.8244
0.0000 0.5000 0.5000
0.5000 0.0000 0.5000
0.0000 0.0000 0.0000
0.1583 0.2772 0.6588
0.1583 0.7228 0.6588
0.3417 0.2228 0.3412
0.3417 0.7772 0.3412
0.5000 0.5000 0.0000
0.6583 0.2228 0.6588
0.6583 0.7772 0.6588
0.8417 0.2772 0.3412
0.8417 0.7228 0.3412
```

Largest 10 diffraction maxima, sorted by position, 5 to 70 degrees two-theta:
16.5°, 5.372 Å, rel. 14; 29.7°, 3.012 Å, rel. 100; 32.1°, 2.785 Å, rel. 38; 36.4°, 2.468 Å, rel. 77; 41.4°, 2.183 Å, rel. 32; 51.0°, 1.791 Å, rel. 16; 53.3°, 1.718 Å, rel. 52; 55.8°, 1.648 Å, rel. 21; 60.1°, 1.539 Å, rel. 15; 64.3°, 1.448 Å, rel. 15